# 1
The following is a computed powder XRD pattern of IrC2. It was derived from a cell relaxed with PBE, using Cu Kα (λ = 1.5418 Å).
Kinematic intensities with the Lorentz-polarization factor, no thermal factor.

Cell and atoms:
Lattice parameters (Å, degrees): 3.432 3.432 5.388 90.00 90.00 90.00
Space group I4/mmm (No. 139)
Asymmetric unit:
Ir 0.000 0.000 0.000
C 0.000 0.000 0.378

Largest 9 diffraction maxima, by angle, 2θ = 5–70°:
two_theta	d [Å]	I_rel	(hkl)
30.9	2.895	100	1 0 1
33.3	2.694	25	0 0 2
37.0	2.427	46	1 1 0
50.6	1.803	31	1 1 2
53.4	1.716	16	2 0 0
58.0	1.591	23	1 0 3
63.0	1.476	28	2 1 1
64.4	1.447	15	2 0 2
69.8	1.347	3	0 0 4



# 2
The following is a computed powder XRD pattern of AcMgO3. It was derived from a cell relaxed with PBE, using Cu Kα (λ = 1.5418 Å).
Kinematic intensities with the Lorentz-polarization factor, no thermal factor.

Cell and atoms:
Lattice parameters (Å, degrees): 4.016 4.016 4.016 90.00 90.00 90.00
Space group Pm-3m (No. 221)
Asymmetric unit:
Ac 0.000 0.000 0.000
Mg 0.500 0.500 0.500
O 0.000 0.500 0.500

Largest 7 diffraction maxima, by angle, 2θ = 5–70°:
two_theta	d [Å]	I_rel	(hkl)
22.1	4.016	70	1 0 0
31.5	2.840	100	1 1 0
38.8	2.319	43	1 1 1
45.2	2.008	31	2 0 0
50.8	1.796	34	2 1 0
56.1	1.640	41	2 1 1
65.8	1.420	19	2 2 0



# 3
The following is a computed powder XRD pattern of RbZnH2Se2ClO6. It was derived from a cell relaxed with PBE, using Cu Kα (λ = 1.5418 Å).
Kinematic intensities with the Lorentz-polarization factor, no thermal factor.

Cell and atoms:
Lattice parameters (Å, degrees): 6.537 6.108 10.948 90.00 103.17 90.00
Space group P2/c (No. 13)
Asymmetric unit:
Rb 0.000 0.165 0.250
Zn 0.500 0.434 0.750
H 0.068 0.339 0.590
Se 0.297 0.312 0.990
Cl 0.500 0.056 0.750
O 0.036 0.213 0.924
O 0.243 0.457 0.116
O 0.320 0.485 0.386

Largest 10 diffraction maxima, by angle, 2θ = 5–70°:
two_theta	d [Å]	I_rel	(hkl)
14.5	6.108	29	0 1 0
20.1	4.407	26	1 1 0
23.0	3.863	100	1 1 1
29.2	3.056	35	2 0 -2
29.7	3.008	64	1 1 -3
32.8	2.732	14	1 2 -1
33.6	2.665	21	0 0 4
33.8	2.650	14	0 2 2
36.0	2.494	29	2 0 2
57.5	1.603	13	3 1 3



# 4
The following is a computed powder XRD pattern of Ho3Ge3Ir2. It was derived from a cell relaxed with PBE, using Cu Kα (λ = 1.5418 Å).
Kinematic intensities with the Lorentz-polarization factor, no thermal factor.

Cell and atoms:
Lattice parameters (Å, degrees): 4.310 10.451 14.290 90.00 90.00 90.00
Space group Cmcm (No. 63)
Asymmetric unit:
Ho 0.000 0.084 0.110
Ho 0.000 0.358 0.250
Ge 0.000 0.344 0.750
Ge 0.000 0.377 0.035
Ir 0.000 0.200 0.603

Largest 10 diffraction maxima, by angle, 2θ = 5–70°:
two_theta	d [Å]	I_rel	(hkl)
17.0	5.226	11	0 2 0
33.7	2.661	100	1 1 4
34.9	2.570	15	0 4 1
37.8	2.382	16	0 0 6
38.2	2.355	36	1 3 3
39.3	2.291	20	0 4 3
41.9	2.157	65	2 0 0
56.4	1.630	12	1 3 7
58.8	1.570	14	2 4 3
66.2	1.411	12	1 7 0



# 5
The following is a computed powder XRD pattern of YH3. It was derived from a cell relaxed with PBE, using Cu Kα (λ = 1.5418 Å).
Kinematic intensities with the Lorentz-polarization factor, no thermal factor.

Cell and atoms:
Lattice parameters (Å, degrees): 3.6784 3.6784 6.6190 90.00 90.00 120.00
Space group P6_3/mmc (No. 194)
Asymmetric unit:
Y 0.3333 0.6667 0.2500
H 0.0000 0.0000 0.2500
H 0.3333 0.6667 0.5940

Largest 10 diffraction maxima, by angle, 2θ = 5–70°:
two_theta	d [Å]	I_rel	(hkl)
26.9	3.310	34	0 0 2
28.0	3.186	23	1 0 0
31.2	2.870	100	1 0 1
39.3	2.295	17	1 0 2
49.6	1.839	19	1 1 0
50.3	1.814	27	1 0 3
55.5	1.655	4	0 0 4
57.3	1.608	23	1 1 2
59.7	1.549	15	2 0 1
63.3	1.468	4	1 0 4



# 6
The following is a computed powder XRD pattern of CaH8Cl2O4. It was derived from a cell relaxed with PBE, using Cu Kα (λ = 1.5418 Å).
Kinematic intensities with the Lorentz-polarization factor, no thermal factor.

Cell and atoms:
Lattice parameters (Å, degrees): 6.090 7.794 8.939 90.00 109.93 90.00
Space group P2_1/c (No. 14)
Asymmetric unit:
Ca 0.000 0.000 0.000
H 0.096 0.072 0.352
H 0.110 0.060 0.695
H 0.418 0.702 0.703
H 0.419 0.728 0.530
Cl 0.298 0.216 0.566
O 0.007 0.505 0.239
O 0.318 0.691 0.590

Largest 10 diffraction maxima, by angle, 2θ = 5–70°:
two_theta	d [Å]	I_rel	(hkl)
15.5	5.719	49	1 0 0
19.2	4.614	39	1 1 0
21.1	4.202	28	0 0 2
21.6	4.123	24	1 0 -2
24.4	3.644	21	1 1 1
27.7	3.222	100	1 2 0
31.3	2.861	30	2 0 -2
38.3	2.349	35	1 2 2
39.0	2.307	65	2 2 0
40.4	2.234	28	1 0 -4